This entry pairs a crystal structure of Ti6GaN2 with its computed powder X-ray diffraction pattern. Radiation: λ = 1.5418 Å (Cu Kα). Structure: a cell relaxed with PBE.
Neutral-atom scattering factors, no anomalous dispersion.

Crystal structure
a b c (Å): 5.5264 5.5264 7.2674
angles (deg): 117.03 117.03 43.47
Fractional coordinates of all 9 atoms:
Ti 0.0257 0.0257 0.1864
Ti 0.3035 0.3035 0.9208
Ti 0.3301 0.3301 0.4276
Ti 0.6699 0.6699 0.5724
Ti 0.6965 0.6965 0.0792
Ti 0.9743 0.9743 0.8136
Ga 0.0000 0.0000 0.5000
N 0.1835 0.1835 0.0877
N 0.8165 0.8165 0.9123

Main lines, in order of falling intensity (10 to 90 degrees two-theta):
d/Å  intensity
2.412  100
2.046  46
3.723  36
2.439  34
2.699  29
3.169  20